This entry pairs a crystal structure of TlZnBr3 with its simulated PXRD pattern. Radiation: Cu Kα. Structure: a structure optimized by DFT (GGA-PBE).
Neutral-atom scattering factors, no anomalous dispersion.

Structural model:
Cell lengths 6.641, 6.924, 8.668 Å; angles 67.68, 88.04, 83.72 degrees
Atoms (fractional coordinates):
Tl 0.000 0.000 0.000
Tl 0.496 0.240 0.506
Zn 0.462 0.502 0.902
Zn 0.958 0.645 0.604
Br 0.307 0.737 0.629
Br 0.308 0.557 0.138
Br 0.481 0.145 0.922
Br 0.798 0.924 0.370
Br 0.810 0.616 0.879
Br 0.978 0.307 0.583

Most intense lines, 5 to 70 degrees two-theta, in order of falling intensity:
- 25.90 deg, I = 100
- 22.17 deg, I = 41
- 18.54 deg, I = 35
- 18.32 deg, I = 32
- 35.58 deg, I = 31
- 27.01 deg, I = 29
- 29.15 deg, I = 27
- 25.70 deg, I = 26
- 31.82 deg, I = 25
- 29.33 deg, I = 21

***

This entry pairs a crystal structure of W3Br8 with its simulated PXRD pattern. Radiation: Cu Kα. Structure: a structure optimized by DFT (GGA-PBE).
Neutral-atom scattering factors, no anomalous dispersion.

Structural model:
Cell lengths 9.555, 9.555, 14.325 Å; angles 90.00, 90.00, 100.92 degrees
Atoms (fractional coordinates):
W 0.034 0.182 0.949
W 0.074 0.926 0.885
W 0.182 0.034 0.051
W 0.318 0.466 0.551
W 0.426 0.574 0.385
W 0.466 0.318 0.449
W 0.534 0.682 0.551
W 0.574 0.426 0.615
W 0.682 0.534 0.449
W 0.818 0.966 0.949
W 0.926 0.074 0.115
W 0.966 0.818 0.051
Br 0.047 0.953 0.569
Br 0.069 0.413 0.621
Br 0.075 0.925 0.212
Br 0.087 0.431 0.879
Br 0.140 0.287 0.112
Br 0.171 0.829 0.735
Br 0.213 0.360 0.388
Br 0.219 0.781 0.989
Br 0.281 0.719 0.489
Br 0.287 0.140 0.888
Br 0.329 0.671 0.235
Br 0.360 0.213 0.612
Br 0.413 0.069 0.379
Br 0.425 0.575 0.712
Br 0.431 0.087 0.121
Br 0.453 0.547 0.069
Br 0.547 0.453 0.931
Br 0.569 0.913 0.879
Br 0.575 0.425 0.288
Br 0.587 0.931 0.621
Br 0.640 0.787 0.388
Br 0.671 0.329 0.765
Br 0.713 0.860 0.112
Br 0.719 0.281 0.511
Br 0.781 0.219 0.011
Br 0.787 0.640 0.612
Br 0.829 0.171 0.265
Br 0.860 0.713 0.888
Br 0.913 0.569 0.121
Br 0.925 0.075 0.788
Br 0.931 0.587 0.379
Br 0.953 0.047 0.431

Most intense lines, 5 to 70 degrees two-theta, in order of falling intensity:
- 11.27 deg, I = 100
- 42.96 deg, I = 21
- 12.01 deg, I = 20
- 12.36 deg, I = 19
- 42.76 deg, I = 12
- 28.97 deg, I = 11
- 31.83 deg, I = 10
- 14.56 deg, I = 9
- 39.86 deg, I = 9
- 44.11 deg, I = 8

***

This entry pairs a crystal structure of ZnBr2 with its simulated PXRD pattern. Radiation: Cu Kα. Structure: a structure optimized by DFT (GGA-PBE).
Neutral-atom scattering factors, no anomalous dispersion.

Structural model:
Cell lengths 6.447, 6.447, 7.691 Å; angles 90.00, 90.00, 120.00 degrees
Atoms (fractional coordinates):
Zn 0.000 0.556 0.167
Zn 0.444 0.444 0.500
Zn 0.556 0.000 0.833
Br 0.035 0.357 0.427
Br 0.322 0.965 0.094
Br 0.357 0.035 0.573
Br 0.643 0.678 0.761
Br 0.678 0.643 0.239
Br 0.965 0.322 0.906

Most intense lines, 5 to 70 degrees two-theta, in order of falling intensity:
- 27.68 deg, I = 100
- 28.18 deg, I = 87
- 19.65 deg, I = 68
- 49.26 deg, I = 62
- 39.91 deg, I = 53
- 50.18 deg, I = 33
- 44.52 deg, I = 19
- 48.95 deg, I = 19
- 50.46 deg, I = 15
- 64.92 deg, I = 14

***

This entry pairs a crystal structure of ZnBr6 with its simulated PXRD pattern. Radiation: Cu Kα. Structure: a structure optimized by DFT (GGA-PBE).
Neutral-atom scattering factors, no anomalous dispersion.

Structural model:
Cell lengths 6.903, 7.044, 7.411 Å; angles 72.29, 65.15, 88.64 degrees
Atoms (fractional coordinates):
Zn 0.000 0.000 0.000
Br 0.039 0.770 0.745
Br 0.281 0.440 0.159
Br 0.352 0.073 0.754
Br 0.648 0.927 0.246
Br 0.719 0.560 0.841
Br 0.961 0.230 0.255

Most intense lines, 5 to 70 degrees two-theta, in order of falling intensity:
- 21.89 deg, I = 100
- 24.20 deg, I = 26
- 24.96 deg, I = 25
- 25.86 deg, I = 23
- 13.92 deg, I = 23
- 28.06 deg, I = 18
- 41.30 deg, I = 16
- 15.84 deg, I = 15
- 33.24 deg, I = 15
- 44.64 deg, I = 14

***

This entry pairs a crystal structure of ZnBr2 with its simulated PXRD pattern. Radiation: Cu Kα. Structure: a structure optimized by DFT (GGA-PBE).
Neutral-atom scattering factors, no anomalous dispersion.

Structural model:
Cell lengths 13.760, 13.760, 13.760 Å; angles 130.25, 130.25, 73.00 degrees
Atoms (fractional coordinates):
Zn 0.063 0.299 0.988
Zn 0.076 0.063 0.264
Zn 0.189 0.924 0.488
Zn 0.201 0.437 0.512
Zn 0.299 0.811 0.236
Zn 0.311 0.799 0.736
Zn 0.424 0.689 0.988
Zn 0.437 0.424 0.236
Zn 0.563 0.576 0.764
Zn 0.576 0.311 0.012
Zn 0.689 0.201 0.264
Zn 0.701 0.189 0.764
Zn 0.799 0.563 0.488
Zn 0.811 0.076 0.512
Zn 0.924 0.937 0.736
Zn 0.937 0.701 0.012
Br 0.004 0.254 0.750
Br 0.015 0.250 0.265
Br 0.111 0.628 0.990
Br 0.121 0.111 0.983
Br 0.128 0.611 0.490
Br 0.138 0.121 0.510
Br 0.246 0.496 0.750
Br 0.250 0.485 0.235
Br 0.250 0.985 0.735
Br 0.254 0.004 0.250
Br 0.362 0.872 0.983
Br 0.372 0.862 0.483
Br 0.379 0.362 0.990
Br 0.389 0.379 0.517
Br 0.485 0.750 0.235
Br 0.496 0.246 0.250
Br 0.504 0.754 0.750
Br 0.515 0.250 0.765
Br 0.611 0.621 0.483
Br 0.621 0.638 0.010
Br 0.628 0.138 0.517
Br 0.638 0.128 0.017
Br 0.746 0.996 0.750
Br 0.750 0.015 0.265
Br 0.750 0.515 0.765
Br 0.754 0.504 0.250
Br 0.862 0.879 0.490
Br 0.872 0.389 0.510
Br 0.879 0.889 0.017
Br 0.889 0.372 0.010
Br 0.985 0.750 0.735
Br 0.996 0.746 0.250

Most intense lines, 5 to 70 degrees two-theta, in order of falling intensity:
- 27.11 deg, I = 100
- 45.36 deg, I = 48
- 52.68 deg, I = 27
- 44.27 deg, I = 24
- 20.97 deg, I = 22
- 54.61 deg, I = 17
- 13.46 deg, I = 14
- 34.52 deg, I = 12
- 30.90 deg, I = 11
- 64.39 deg, I = 7

***

This entry pairs a crystal structure of ZnBr2 with its simulated PXRD pattern. Radiation: Cu Kα. Structure: a structure optimized by DFT (GGA-PBE).
Neutral-atom scattering factors, no anomalous dispersion.

Structural model:
Cell lengths 6.695, 9.236, 6.532 Å; angles 90.00, 96.97, 90.00 degrees
Atoms (fractional coordinates):
Zn 0.248 0.244 0.000
Zn 0.248 0.256 0.500
Zn 0.752 0.744 0.500
Zn 0.752 0.756 0.000
Br 0.038 0.122 0.230
Br 0.038 0.378 0.730
Br 0.455 0.120 0.771
Br 0.455 0.380 0.271
Br 0.545 0.620 0.729
Br 0.545 0.880 0.229
Br 0.962 0.622 0.270
Br 0.962 0.878 0.770

Most intense lines, 5 to 70 degrees two-theta, in order of falling intensity:
- 16.43 deg, I = 100
- 28.07 deg, I = 77
- 26.39 deg, I = 69
- 48.40 deg, I = 36
- 41.20 deg, I = 28
- 47.98 deg, I = 27
- 36.29 deg, I = 24
- 47.86 deg, I = 17
- 41.59 deg, I = 16
- 33.21 deg, I = 15

***

Repeat the fourth record exactly.
This entry pairs a crystal structure of ZnBr6 with its simulated PXRD pattern. Radiation: Cu Kα. Structure: a structure optimized by DFT (GGA-PBE).
Neutral-atom scattering factors, no anomalous dispersion.

Structural model:
Cell lengths 6.903, 7.044, 7.411 Å; angles 72.29, 65.15, 88.64 degrees
Atoms (fractional coordinates):
Zn 0.000 0.000 0.000
Br 0.039 0.770 0.745
Br 0.281 0.440 0.159
Br 0.352 0.073 0.754
Br 0.648 0.927 0.246
Br 0.719 0.560 0.841
Br 0.961 0.230 0.255

Most intense lines, 5 to 70 degrees two-theta, in order of falling intensity:
- 21.89 deg, I = 100
- 24.20 deg, I = 26
- 24.96 deg, I = 25
- 25.86 deg, I = 23
- 13.92 deg, I = 23
- 28.06 deg, I = 18
- 41.30 deg, I = 16
- 15.84 deg, I = 15
- 33.24 deg, I = 15
- 44.64 deg, I = 14